Computed PXRD pattern of LiSmEr2S4 for Cu Ka, from a crystal structure in Alexandria, relaxed with GGA-PBE.
No peak broadening, texture or thermal motion is included.

Structural model:
```
data_LiSmEr2S4
_cell_length_a 6.748
_cell_length_b 3.882
_cell_length_c 6.758
_cell_angle_alpha 90.00
_cell_angle_beta 109.29
_cell_angle_gamma 90.00
_symmetry_space_group_name_H-M 'P 1 2/m 1'
_symmetry_Int_Tables_number 10
loop_
_symmetry_equiv_pos_as_xyz
'x,y,z'
'-x,-y,-z'
'-x,y,-z'
'x,-y,z'
loop_
_atom_site_label
_atom_site_fract_x
_atom_site_fract_y
_atom_site_fract_z
Li1 0.000 0.000 0.000
Sm1 0.500 0.500 0.000
Er1 0.000 0.500 0.500
Er2 0.500 0.000 0.500
S1 0.239 0.000 0.744
S2 0.245 0.500 0.253
```

Principal peaks in the range 2θ = 5–70°, low angle first:
2θ (°)  d [Å]  Rel. int.
13.9  6.375  33.5
26.9  3.318  22.1
28.0  3.187  31.1
28.1  3.173  30.7
32.5  2.754  100.0
46.6  1.947  47.6
55.2  1.663  13.0
55.4  1.659  12.9
57.9  1.593  12.4
58.2  1.586  12.2